1.
Theoretical powder XRD pattern
Compound: Co6W20C7
Radiation: Cu Ka
Structure: a structure optimized by DFT (PBE)

Structural model:
abc: 7.8755 7.8755 7.8811
angles: 90.00 90.00 120.00
Space group P-6m2 (No. 187)
Symmetry-distinct sites (fractional):
Co  0.1114  0.2228  0.0000 [3 per cell]
Co  0.2217  0.1109  0.5000 [3 per cell]
W  0.0000  0.0000  0.2506 [2 per cell]
W  0.1050  0.5525  0.0000 [3 per cell]
W  0.1996  0.3993  0.3205 [6 per cell]
W  0.4074  0.2037  0.1781 [6 per cell]
W  0.5485  0.0971  0.5000 [3 per cell]
C  0.0048  0.5024  0.2498 [6 per cell]
C  0.6667  0.3333  0.0000 [1 per cell]

Top 10 peaks for 2θ from 10° to 80°, in order of rising 2θ:
d = 2.578 Å, 34.8 deg, intensity 75.1, (2 1 0)
d = 2.451 Å, 36.7 deg, intensity 79.8, (1 0 3)
d = 2.273 Å, 39.6 deg, intensity 24.4, (3 0 0)
d = 2.184 Å, 41.3 deg, intensity 91.3, (3 0 1)
d = 2.157 Å, 41.9 deg, intensity 100.0, (2 1 2)
d = 2.081 Å, 43.5 deg, intensity 53.3, (2 0 3)
d = 1.969 Å, 46.1 deg, intensity 33.5, (2 2 0)
d = 1.344 Å, 70.0 deg, intensity 51.1, (3 2 3)
d = 1.313 Å, 71.9 deg, intensity 29.5, (3 3 0)
d = 1.295 Å, 73.1 deg, intensity 33.4, (3 0 5)



2.
Theoretical powder XRD pattern
Compound: K2CoS2
Radiation: Cu Ka
Structure: a structure optimized by DFT (PBE)

Structural model:
abc: 6.817 12.702 5.941
angles: 90.00 90.00 90.00
Space group Ibam (No. 72)
Symmetry-distinct sites (fractional):
K  0.167  0.146  0.000 [8 per cell]
Co  0.000  0.500  0.250 [4 per cell]
S  0.181  0.401  0.000 [8 per cell]

Top 10 peaks for 2θ from 10° to 80°, in order of rising 2θ:
d = 6.351 Å, 13.9 deg, intensity 60.5, (0 2 0)
d = 6.006 Å, 14.7 deg, intensity 100.0, (1 1 0)
d = 3.597 Å, 24.8 deg, intensity 66.6, (1 3 0)
d = 2.879 Å, 31.1 deg, intensity 63.7, (2 1 1)
d = 2.663 Å, 33.7 deg, intensity 28.6, (1 1 2)
d = 2.590 Å, 34.6 deg, intensity 33.3, (1 4 1)
d = 2.424 Å, 37.1 deg, intensity 28.4, (2 3 1)
d = 2.323 Å, 38.8 deg, intensity 39.2, (2 4 0)
d = 2.239 Å, 40.3 deg, intensity 50.3, (2 0 2)
d = 2.169 Å, 41.6 deg, intensity 61.6, (0 4 2)



3.
Theoretical powder XRD pattern
Compound: Cs3HoCl6
Radiation: Cu Ka
Structure: a structure optimized by DFT (PBE)

Structural model:
abc: 11.901 11.901 11.901
angles: 90.00 90.00 90.00
Space group Fm-3m (No. 225)
Symmetry-distinct sites (fractional):
Cs  0.000  0.000  0.000 [4 per cell]
Cs  0.250  0.250  0.250 [8 per cell]
Ho  0.000  0.000  0.500 [4 per cell]
Cl  0.000  0.000  0.279 [24 per cell]

Top 10 peaks for 2θ from 10° to 80°, in order of rising 2θ:
d = 4.208 Å, 21.1 deg, intensity 100.0, (2 2 0)
d = 2.975 Å, 30.0 deg, intensity 50.0, (4 0 0)
d = 2.429 Å, 37.0 deg, intensity 44.7, (4 2 2)
d = 2.104 Å, 43.0 deg, intensity 34.1, (4 4 0)
d = 1.882 Å, 48.4 deg, intensity 25.6, (6 2 0)
d = 1.718 Å, 53.3 deg, intensity 11.3, (4 4 4)
d = 1.590 Å, 58.0 deg, intensity 28.1, (6 4 2)
d = 1.403 Å, 66.7 deg, intensity 12.5, (6 6 0)
d = 1.331 Å, 70.8 deg, intensity 13.4, (8 4 0)
d = 1.215 Å, 78.8 deg, intensity 9.6, (8 4 4)



4.
Theoretical powder XRD pattern
Compound: Ca4ReN4
Radiation: Cu Ka
Structure: a structure optimized by DFT (PBE)

Structural model:
abc: 6.040 6.095 8.502
angles: 89.10 73.83 69.40
Space group P-1 (No. 2)
Symmetry-distinct sites (fractional):
Ca  0.040  0.236  0.420 [2 per cell]
Ca  0.217  0.742  0.156 [2 per cell]
Ca  0.232  0.231  0.011 [2 per cell]
Ca  0.427  0.281  0.620 [2 per cell]
Re  0.400  0.782  0.756 [2 per cell]
N  0.186  0.014  0.658 [2 per cell]
N  0.219  0.595  0.869 [2 per cell]
N  0.302  0.469  0.369 [2 per cell]
N  0.405  0.007  0.214 [2 per cell]

Top 10 peaks for 2θ from 10° to 80°, in order of rising 2θ:
d = 5.408 Å, 16.4 deg, intensity 93.7, (1 0 0)
d = 4.871 Å, 18.2 deg, intensity 85.3, (0 1 -1)
d = 4.469 Å, 19.9 deg, intensity 61.4, (0 1 1)
d = 2.876 Å, 31.1 deg, intensity 100.0, (1 0 -2)
d = 2.841 Å, 31.5 deg, intensity 83.2, (0 2 0)
d = 2.824 Å, 31.7 deg, intensity 88.4, (2 0 1)
d = 2.583 Å, 34.7 deg, intensity 78.1, (1 1 3)
d = 2.477 Å, 36.3 deg, intensity 69.1, (2 2 1)
d = 2.403 Å, 37.4 deg, intensity 70.1, (1 -1 3)
d = 2.333 Å, 38.6 deg, intensity 61.5, (-1 1 2)



5.
Theoretical powder XRD pattern
Compound: Ba9Pr6Br34
Radiation: Cu Ka
Structure: a structure optimized by DFT (PBE)

Structural model:
abc: 12.042 12.042 23.037
angles: 90.00 90.00 90.00
Space group I4/m (No. 87)
Symmetry-distinct sites (fractional):
Ba  0.000  0.000  0.000 [2 per cell]
Ba  0.137  0.684  0.158 [16 per cell]
Pr  0.000  0.000  0.312 [4 per cell]
Pr  0.108  0.678  0.500 [8 per cell]
Br  0.000  0.500  0.078 [8 per cell]
Br  0.000  0.500  0.250 [4 per cell]
Br  0.072  0.789  0.378 [16 per cell]
Br  0.085  0.211  0.081 [16 per cell]
Br  0.091  0.194  0.240 [16 per cell]
Br  0.143  0.282  0.500 [8 per cell]

Top 10 peaks for 2θ from 10° to 80°, in order of rising 2θ:
d = 4.409 Å, 20.1 deg, intensity 61.1, (1 2 3)
d = 3.176 Å, 28.1 deg, intensity 18.3, (1 3 4)
d = 2.897 Å, 30.9 deg, intensity 21.8, (4 1 1)
d = 2.808 Å, 31.9 deg, intensity 14.7, (2 1 7)
d = 2.704 Å, 33.1 deg, intensity 100.0, (3 1 6)
d = 2.693 Å, 33.3 deg, intensity 43.9, (2 4 0)
d = 2.312 Å, 39.0 deg, intensity 19.4, (1 2 9)
d = 2.298 Å, 39.2 deg, intensity 35.2, (4 3 3)
d = 1.754 Å, 52.2 deg, intensity 12.7, (5 0 9)
d = 1.557 Å, 59.4 deg, intensity 22.2, (1 7 6)



6.
Theoretical powder XRD pattern
Compound: Hg4SbO6
Radiation: Cu Ka
Structure: a structure optimized by DFT (PBE)

Structural model:
abc: 6.794 15.871 4.846
angles: 90.00 133.81 90.00
Space group Cm (No. 8)
Symmetry-distinct sites (fractional):
Hg  0.000  0.106  0.000 [4 per cell]
Hg  0.006  0.279  0.012 [4 per cell]
Sb  0.497  0.000  0.997 [2 per cell]
O  0.213  0.396  0.046 [4 per cell]
O  0.242  0.500  0.554 [2 per cell]
O  0.252  0.000  0.440 [2 per cell]
O  0.281  0.104  0.943 [4 per cell]

Top 10 peaks for 2θ from 10° to 80°, in order of rising 2θ:
d = 3.497 Å, 25.5 deg, intensity 100.0, (0 0 1)
d = 3.397 Å, 26.2 deg, intensity 82.8, (2 0 -1)
d = 2.664 Å, 33.6 deg, intensity 72.4, (1 5 0)
d = 2.655 Å, 33.8 deg, intensity 65.9, (1 5 -1)
d = 2.451 Å, 36.7 deg, intensity 29.7, (2 0 0)
d = 2.422 Å, 37.1 deg, intensity 31.4, (2 0 -2)
d = 1.816 Å, 50.3 deg, intensity 25.3, (1 5 1)
d = 1.806 Å, 50.5 deg, intensity 22.7, (1 5 -2)
d = 1.787 Å, 51.1 deg, intensity 30.5, (3 5 -1)
d = 1.778 Å, 51.4 deg, intensity 24.8, (3 5 -2)



> Which formula does entry 3 have?

Cs3HoCl6